Record 1
This entry pairs a crystal structure of Cd5InO5 with its computed powder diffractogram. Radiation: a wavelength of 1.5418 Å. Structure: DFT lattice parameters and positions (GGA-PBE).
Lines closer than 0.1° are merged.

Largest 8 diffraction maxima, sorted by position, 10° ≤ 2θ ≤ 90°:
| 2θ/deg | Rel. int. | index |
| --- | --- | --- |
| 31.89 | 100 | 1 1 -2 |
| 32.63 | 94 | 3 1 0 |
| 34.12 | 47 | 4 0 -2 |
| 37.58 | 59 | 2 0 2 |
| 40.35 | 48 | 0 2 0 |
| 53.85 | 23 | 4 2 -2 |
| 56.32 | 33 | 2 2 2 |
| 68.08 | 16 | 1 3 -2 |

```
data_Cd5InO5
_cell_length_a 11.396
_cell_length_b 4.470
_cell_length_c 7.242
_cell_angle_alpha 90.00
_cell_angle_beta 113.79
_cell_angle_gamma 90.00
_symmetry_space_group_name_H-M 'C 1 2/m 1'
_symmetry_Int_Tables_number 12
loop_
_symmetry_equiv_pos_as_xyz
'x,y,z'
'-x,-y,-z'
'-x,y,-z'
'x,-y,z'
'x+1/2,y+1/2,z'
'-x+1/2,-y+1/2,-z'
'-x+1/2,y+1/2,-z'
'x+1/2,-y+1/2,z'
loop_
_atom_site_label
_atom_site_type_symbol
_atom_site_fract_x
_atom_site_fract_y
_atom_site_fract_z
Cd1 Cd 0.000 0.000 0.000
Cd2 Cd 0.136 0.500 0.867
Cd3 Cd 0.172 0.500 0.328
In1 In 0.000 0.000 0.500
O1 O 0.000 0.500 0.500
O2 O 0.142 0.000 0.370
O3 O 0.172 0.000 0.811
```



Record 2
This entry pairs a crystal structure of Sn4IrAu2 with its computed powder diffractogram. Radiation: a wavelength of 1.5418 Å. Structure: DFT lattice parameters and positions (GGA-PBE).
Lines closer than 0.1° are merged.

Largest 8 diffraction maxima, sorted by position, 10° ≤ 2θ ≤ 90°:
| 2θ/deg | Rel. int. | index |
| --- | --- | --- |
| 29.42 | 100 | 1 0 1 |
| 30.65 | 49 | 0 2 -2 |
| 40.22 | 87 | 0 1 2 |
| 40.90 | 59 | 1 2 -1 |
| 41.01 | 47 | 1 -3 1 |
| 43.91 | 47 | 2 -1 0 |
| 44.91 | 42 | 1 1 -3 |
| 45.04 | 41 | 1 -2 3 |

```
data_Sn4IrAu2
_cell_length_a 4.124
_cell_length_b 6.887
_cell_length_c 6.935
_cell_angle_alpha 118.26
_cell_angle_beta 90.18
_cell_angle_gamma 107.24
_symmetry_space_group_name_H-M 'P -1'
_symmetry_Int_Tables_number 2
loop_
_symmetry_equiv_pos_as_xyz
'x,y,z'
'-x,-y,-z'
loop_
_atom_site_label
_atom_site_type_symbol
_atom_site_fract_x
_atom_site_fract_y
_atom_site_fract_z
Sn1 Sn 0.100 0.199 0.448
Sn2 Sn 0.382 0.761 0.043
Ir1 Ir 0.000 0.000 0.000
Au1 Au 0.258 0.517 0.276
```



Record 3
This entry pairs a crystal structure of LiSc5Ga6 with its computed powder diffractogram. Radiation: a wavelength of 1.5418 Å. Structure: DFT lattice parameters and positions (GGA-PBE).
Lines closer than 0.1° are merged.

Largest 8 diffraction maxima, sorted by position, 10° ≤ 2θ ≤ 90°:
| 2θ/deg | Rel. int. | index |
| --- | --- | --- |
| 26.94 | 12 | 1 0 3 |
| 38.11 | 100 | 1 2 3 |
| 38.33 | 25 | 0 0 6 |
| 38.59 | 24 | 2 0 0 |
| 55.52 | 16 | 2 0 6 |
| 69.17 | 15 | 1 2 9 |
| 69.50 | 16 | 3 2 3 |
| 81.53 | 9 | 2 4 6 |

```
data_LiSc5Ga6
_cell_length_a 4.667
_cell_length_b 6.739
_cell_length_c 14.088
_cell_angle_alpha 90.00
_cell_angle_beta 90.00
_cell_angle_gamma 90.00
_symmetry_space_group_name_H-M 'I m m m'
_symmetry_Int_Tables_number 71
_symmetry_space_group_name_Hall '-I 2 2'
loop_
_atom_site_label
_atom_site_type_symbol
_atom_site_fract_x
_atom_site_fract_y
_atom_site_fract_z
Li1 Li 0.000 0.000 0.000
Sc1 Sc 0.000 0.000 0.335
Sc2 Sc 0.000 0.500 0.000
Sc3 Sc 0.000 0.500 0.336
Ga1 Ga 0.000 0.245 0.163
Ga2 Ga 0.000 0.261 0.500
```



Record 4
This entry pairs a crystal structure of PuZrB with its computed powder diffractogram. Radiation: a wavelength of 1.5418 Å. Structure: DFT lattice parameters and positions (GGA-PBE).
Lines closer than 0.1° are merged.

Largest 8 diffraction maxima, sorted by position, 10° ≤ 2θ ≤ 90°:
| 2θ/deg | Rel. int. | index |
| --- | --- | --- |
| 10.44 | 100 | 0 2 0 |
| 20.96 | 19 | 0 4 0 |
| 31.67 | 16 | 0 6 0 |
| 35.21 | 21 | 0 4 1 |
| 37.41 | 24 | 1 5 0 |
| 39.03 | 54 | 1 1 1 |
| 42.75 | 10 | 0 6 1 |
| 47.35 | 20 | 1 5 1 |

```
data_PuZrB
_cell_length_a 3.409
_cell_length_b 16.952
_cell_length_c 3.190
_cell_angle_alpha 90.00
_cell_angle_beta 90.00
_cell_angle_gamma 90.00
_symmetry_space_group_name_H-M 'C m c m'
_symmetry_Int_Tables_number 63
_symmetry_space_group_name_Hall '-C 2c 2'
loop_
_atom_site_label
_atom_site_type_symbol
_atom_site_fract_x
_atom_site_fract_y
_atom_site_fract_z
Pu1 Pu 0.000 0.225 0.250
Zr1 Zr 0.000 0.418 0.250
B1 B 0.000 0.024 0.250
```



Record 5
This entry pairs a crystal structure of CsRbHAu with its computed powder diffractogram. Radiation: a wavelength of 1.5418 Å. Structure: DFT lattice parameters and positions (GGA-PBE).
Lines closer than 0.1° are merged.

Largest 8 diffraction maxima, sorted by position, 10° ≤ 2θ ≤ 90°:
| 2θ/deg | Rel. int. | index |
| --- | --- | --- |
| 10.46 | 100 | 0 0 1 |
| 23.01 | 86 | 0 1 1 |
| 29.48 | 50 | 0 1 2 |
| 29.64 | 39 | 1 1 0 |
| 29.92 | 51 | 1 0 -2 |
| 30.18 | 49 | 1 0 2 |
| 31.45 | 56 | 1 1 -1 |
| 31.57 | 54 | 1 1 1 |

```
data_CsRbHAu
_cell_length_a 4.185
_cell_length_b 4.346
_cell_length_c 8.455
_cell_angle_alpha 90.00
_cell_angle_beta 90.48
_cell_angle_gamma 90.00
_symmetry_space_group_name_H-M 'P 1 m 1'
_symmetry_Int_Tables_number 6
loop_
_symmetry_equiv_pos_as_xyz
'x,y,z'
'x,-y,z'
loop_
_atom_site_label
_atom_site_type_symbol
_atom_site_fract_x
_atom_site_fract_y
_atom_site_fract_z
Cs1 Cs 0.000 0.000 0.000
Rb1 Rb 0.011 0.500 0.561
H1 H 0.513 0.500 0.787
Au1 Au 0.505 0.500 0.247
```



Record 6
This entry pairs a crystal structure of Tl2InNi with its computed powder diffractogram. Radiation: a wavelength of 1.5418 Å. Structure: DFT lattice parameters and positions (GGA-PBE).
Lines closer than 0.1° are merged.

Largest 8 diffraction maxima, sorted by position, 10° ≤ 2θ ≤ 90°:
| 2θ/deg | Rel. int. | index |
| --- | --- | --- |
| 28.70 | 100 | 0 1 3 |
| 30.15 | 89 | 1 0 2 |
| 32.37 | 62 | 1 1 1 |
| 35.21 | 49 | 0 2 0 |
| 40.37 | 30 | 1 0 4 |
| 47.02 | 52 | 1 2 2 |
| 50.28 | 26 | 1 1 5 |
| 54.62 | 25 | 1 2 4 |

```
data_Tl2InNi
_cell_length_a 3.430
_cell_length_b 5.098
_cell_length_c 11.781
_cell_angle_alpha 90.00
_cell_angle_beta 90.00
_cell_angle_gamma 90.00
_symmetry_space_group_name_H-M 'A m m 2'
_symmetry_Int_Tables_number 38
loop_
_symmetry_equiv_pos_as_xyz
'x,y,z'
'-x,-y,z'
'-x,y,z'
'x,-y,z'
'x,y+1/2,z+1/2'
'-x,-y+1/2,z+1/2'
'-x,y+1/2,z+1/2'
'x,-y+1/2,z+1/2'
loop_
_atom_site_label
_atom_site_type_symbol
_atom_site_fract_x
_atom_site_fract_y
_atom_site_fract_z
Tl1 Tl 0.000 0.000 0.000
Tl2 Tl 0.500 0.000 0.325
In1 In 0.000 0.000 0.655
Ni1 Ni 0.500 0.000 0.821
```



Record 7
This entry pairs a crystal structure of ThPd3Au with its computed powder diffractogram. Radiation: a wavelength of 1.5418 Å. Structure: DFT lattice parameters and positions (GGA-PBE).
Lines closer than 0.1° are merged.

Largest 8 diffraction maxima, sorted by position, 10° ≤ 2θ ≤ 90°:
| 2θ/deg | Rel. int. | index |
| --- | --- | --- |
| 29.50 | 54 | 1 2 1 |
| 33.91 | 31 | 2 2 0 |
| 34.99 | 40 | 0 2 2 |
| 36.33 | 100 | 2 2 1 |
| 37.09 | 85 | 1 2 2 |
| 38.57 | 70 | 3 0 1 |
| 40.48 | 64 | 1 0 3 |
| 48.37 | 38 | 0 4 0 |

```
data_ThPd3Au
_cell_length_a 7.426
_cell_length_b 7.527
_cell_length_c 7.006
_cell_angle_alpha 90.00
_cell_angle_beta 90.00
_cell_angle_gamma 90.00
_symmetry_space_group_name_H-M 'P n m a'
_symmetry_Int_Tables_number 62
loop_
_symmetry_equiv_pos_as_xyz
'x,y,z'
'-x,-y,-z'
'-x+1/2,-y,z+1/2'
'x+1/2,y,-z+1/2'
'x+1/2,-y+1/2,-z+1/2'
'-x+1/2,y+1/2,z+1/2'
'-x,y+1/2,-z'
'x,-y+1/2,z'
loop_
_atom_site_label
_atom_site_type_symbol
_atom_site_fract_x
_atom_site_fract_y
_atom_site_fract_z
Th1 Th 0.000 0.000 0.000
Pd1 Pd 0.132 0.250 0.298
Pd2 Pd 0.139 0.021 0.631
Au1 Au 0.162 0.750 0.360
```



Record 8
This entry pairs a crystal structure of Tb6Zn5Os with its computed powder diffractogram. Radiation: a wavelength of 1.5418 Å. Structure: DFT lattice parameters and positions (GGA-PBE).
Lines closer than 0.1° are merged.

Largest 8 diffraction maxima, sorted by position, 10° ≤ 2θ ≤ 90°:
| 2θ/deg | Rel. int. | index |
| --- | --- | --- |
| 25.12 | 9 | 1 0 -2 |
| 35.67 | 100 | 1 2 1 |
| 35.82 | 49 | 2 0 -1 |
| 51.57 | 17 | 2 0 2 |
| 63.97 | 17 | 2 4 -1 |
| 64.28 | 34 | 3 2 0 |
| 75.54 | 10 | 2 4 2 |
| 86.82 | 9 | 4 0 1 |

```
data_Tb6Zn5Os
_cell_length_a 5.015
_cell_length_b 7.151
_cell_length_c 7.922
_cell_angle_alpha 90.00
_cell_angle_beta 108.39
_cell_angle_gamma 90.00
_symmetry_space_group_name_H-M 'P 1 2/m 1'
_symmetry_Int_Tables_number 10
loop_
_symmetry_equiv_pos_as_xyz
'x,y,z'
'-x,-y,-z'
'-x,y,-z'
'x,-y,z'
loop_
_atom_site_label
_atom_site_type_symbol
_atom_site_fract_x
_atom_site_fract_y
_atom_site_fract_z
Tb1 Tb 0.000 0.237 0.000
Tb2 Tb 0.341 0.244 0.681
Zn1 Zn 0.168 0.500 0.336
Zn2 Zn 0.174 0.000 0.349
Zn3 Zn 0.500 0.500 0.000
Os1 Os 0.500 0.000 0.000
```



Record 9
This entry pairs a crystal structure of TlSe2 with its computed powder diffractogram. Radiation: a wavelength of 1.5418 Å. Structure: DFT lattice parameters and positions (GGA-PBE).
Lines closer than 0.1° are merged.

Largest 8 diffraction maxima, sorted by position, 10° ≤ 2θ ≤ 90°:
| 2θ/deg | Rel. int. | index |
| --- | --- | --- |
| 19.48 | 24 | 1 1 0 |
| 27.68 | 28 | 2 0 0 |
| 29.01 | 100 | 1 1 2 |
| 32.88 | 25 | 2 1 1 |
| 35.19 | 33 | 2 0 2 |
| 44.46 | 33 | 3 1 0 |
| 45.33 | 26 | 2 2 2 |
| 61.71 | 23 | 4 0 2 |

```
data_TlSe2
_cell_length_a 6.445
_cell_length_b 6.445
_cell_length_c 8.346
_cell_angle_alpha 90.00
_cell_angle_beta 90.00
_cell_angle_gamma 90.00
_symmetry_space_group_name_H-M 'I 4/m c m'
_symmetry_Int_Tables_number 140
_symmetry_space_group_name_Hall '-I 4 2c'
loop_
_atom_site_label
_atom_site_type_symbol
_atom_site_fract_x
_atom_site_fract_y
_atom_site_fract_z
Tl1 Tl 0.000 0.000 0.250
Se1 Se 0.127 0.373 0.000
```



Record 10
This entry pairs a crystal structure of NdSm2PaN4 with its computed powder diffractogram. Radiation: a wavelength of 1.5418 Å. Structure: DFT lattice parameters and positions (GGA-PBE).
Lines closer than 0.1° are merged.

Largest 8 diffraction maxima, sorted by position, 10° ≤ 2θ ≤ 90°:
| 2θ/deg | Rel. int. | index |
| --- | --- | --- |
| 30.58 | 100 | 0 0 2 |
| 30.70 | 33 | 2 0 0 |
| 35.42 | 63 | 1 1 1 |
| 35.62 | 31 | 2 0 -2 |
| 50.99 | 44 | 0 2 0 |
| 51.21 | 22 | 3 1 -1 |
| 60.59 | 31 | 1 1 3 |
| 63.65 | 17 | 2 2 -2 |

```
data_NdSm2PaN4
_cell_length_a 6.168
_cell_length_b 3.587
_cell_length_c 6.198
_cell_angle_alpha 90.00
_cell_angle_beta 109.23
_cell_angle_gamma 90.00
_symmetry_space_group_name_H-M 'P 1 2/m 1'
_symmetry_Int_Tables_number 10
loop_
_symmetry_equiv_pos_as_xyz
'x,y,z'
'-x,-y,-z'
'-x,y,-z'
'x,-y,z'
loop_
_atom_site_label
_atom_site_type_symbol
_atom_site_fract_x
_atom_site_fract_y
_atom_site_fract_z
Nd1 Nd 0.000 0.000 0.000
Sm1 Sm 0.500 0.000 0.500
Sm2 Sm 0.500 0.500 0.000
Pa1 Pa 0.000 0.500 0.500
N1 N 0.231 0.000 0.727
N2 N 0.237 0.500 0.271
```



- Number 2 is which compound?
  Sn4IrAu2